The following is a simulated powder diffractogram of PuFeC2. It was derived from a GGA-PBE-relaxed structure, using λ = 1.5418 Å (Cu Kα).

Cell and atoms:
```
data_PuFeC2
_chemical_formula_sum 'Pu2 Fe2 C4'
_cell_length_a 3.4104
_cell_length_b 3.4104
_cell_length_c 7.3418
_cell_angle_alpha 90.00
_cell_angle_beta 90.00
_cell_angle_gamma 90.00
_space_group_name_H-M_alt 'P 4/n m m'
_space_group_IT_number 129
loop_
_space_group_symop_operation_xyz
'x,y,z'
'-x,-y,-z'
'-y+1/2,x,z'
'y+1/2,-x,-z'
'-x+1/2,-y+1/2,z'
'x+1/2,y+1/2,-z'
'y,-x+1/2,z'
'-y,x+1/2,-z'
'x+1/2,-y,-z'
'-x+1/2,y,z'
'-y,-x,-z'
'y,x,z'
'-x,y+1/2,-z'
'x,-y+1/2,z'
'y+1/2,x+1/2,-z'
'-y+1/2,-x+1/2,z'
loop_
_atom_site_label
_atom_site_type_symbol
_atom_site_fract_x
_atom_site_fract_y
_atom_site_fract_z
Pu1 Pu 0.2500 0.2500 0.1754
Fe1 Fe 0.2500 0.7500 0.5000
C1 C 0.2500 0.2500 0.6650
C2 C 0.2500 0.2500 0.8638
```

Peak list (8 most intense, 2θ from 10° to 90°, in order of rising 2θ)
two_theta  I_rel  hkl
28.87  100  1 0 1
35.94  55  1 0 2
36.72  31  0 0 3
37.29  27  1 1 0
39.33  34  1 1 1
44.98  35  1 1 2
53.76  24  2 0 0
62.16  26  2 1 1